[1]
Pm3Tm2Cd6: calculated PXRD pattern (CuKα), based on a cell relaxed with PBE.

Structural model:
Lattice parameters (Å, degrees): 18.0221 18.0221 18.0221 166.45 166.45 19.21
Positions (direct):
Pm: 0.0000 0.0000 0.0000
Pm: 0.1826 0.1826 0.0000
Pm: 0.8174 0.8174 0.0000
Tm: 0.3657 0.3657 0.0000
Tm: 0.6343 0.6343 0.0000
Cd: 0.0699 0.5699 0.5000
Cd: 0.2751 0.2751 0.0000
Cd: 0.4301 0.9301 0.5000
Cd: 0.5699 0.0699 0.5000
Cd: 0.7249 0.7249 0.0000
Cd: 0.9301 0.4301 0.5000

Main lines, in order of rising 2θ (10 to 90 degrees two-theta):
- 24.39 deg, d = 3.650 Å, rel. 38.7
- 29.70 deg, d = 3.008 Å, rel. 22.7
- 30.14 deg, d = 2.965 Å, rel. 54.2
- 33.41 deg, d = 2.682 Å, rel. 67.2
- 34.87 deg, d = 2.573 Å, rel. 100.0
- 36.06 deg, d = 2.490 Å, rel. 39.8
- 42.51 deg, d = 2.127 Å, rel. 61.8
- 56.11 deg, d = 1.639 Å, rel. 50.7
- 61.68 deg, d = 1.504 Å, rel. 20.1
- 65.60 deg, d = 1.423 Å, rel. 31.9


[2]
KMnCuOs2: calculated PXRD pattern (CuKα), based on a cell relaxed with PBE.

Structural model:
Lattice parameters (Å, degrees): 4.5662 4.5662 4.8909 90.00 90.00 90.00
Positions (direct):
K: 0.0000 0.0000 0.0000
Mn: 0.5000 0.5000 0.0000
Cu: 0.0000 0.0000 0.5000
Os: 0.0000 0.5000 0.5000
Os: 0.5000 0.0000 0.5000

Main lines, in order of rising 2θ (10 to 90 degrees two-theta):
- 18.14 deg, d = 4.891 Å, rel. 79.7
- 27.63 deg, d = 3.229 Å, rel. 20.7
- 33.25 deg, d = 2.695 Å, rel. 100.0
- 36.75 deg, d = 2.445 Å, rel. 34.6
- 39.47 deg, d = 2.283 Å, rel. 56.7
- 43.76 deg, d = 2.069 Å, rel. 35.6
- 55.03 deg, d = 1.669 Å, rel. 42.4
- 57.05 deg, d = 1.614 Å, rel. 19.0
- 67.65 deg, d = 1.385 Å, rel. 25.6
- 69.81 deg, d = 1.347 Å, rel. 20.5


[3]
Ac8Co3NCl3: calculated PXRD pattern (CuKα), based on a cell relaxed with PBE.

Structural model:
Lattice parameters (Å, degrees): 8.3361 8.3361 9.2300 116.76 116.76 59.77
Positions (direct):
Ac: 0.2246 0.7447 0.6933
Ac: 0.2267 0.2267 0.6946
Ac: 0.2553 0.7754 0.3067
Ac: 0.2664 0.2664 0.3000
Ac: 0.7336 0.7336 0.7000
Ac: 0.7447 0.2246 0.6933
Ac: 0.7733 0.7733 0.3054
Ac: 0.7754 0.2553 0.3067
Co: 0.0000 0.5000 0.5000
Co: 0.5000 0.0000 0.5000
Co: 0.5000 0.5000 0.5000
N: 0.0000 0.0000 0.5000
Cl: 0.0000 0.0000 0.0000
Cl: 0.0000 0.5000 0.0000
Cl: 0.5000 0.0000 0.0000

Main lines, in order of rising 2θ (10 to 90 degrees two-theta):
- 11.22 deg, d = 7.887 Å, rel. 53.3
- 22.55 deg, d = 3.944 Å, rel. 25.8
- 25.83 deg, d = 3.449 Å, rel. 100.0
- 28.91 deg, d = 3.088 Å, rel. 47.4
- 29.05 deg, d = 3.074 Å, rel. 91.5
- 31.19 deg, d = 2.868 Å, rel. 24.6
- 36.48 deg, d = 2.463 Å, rel. 26.6
- 39.40 deg, d = 2.287 Å, rel. 32.7
- 43.42 deg, d = 2.084 Å, rel. 36.9
- 49.35 deg, d = 1.847 Å, rel. 36.1


[4]
Be3SiBi: calculated PXRD pattern (CuKα), based on a cell relaxed with PBE.

Structural model:
Lattice parameters (Å, degrees): 4.3674 4.3674 4.3674 90.00 90.00 90.00
Positions (direct):
Be: 0.0000 0.0000 0.5000
Be: 0.0000 0.5000 0.0000
Be: 0.5000 0.0000 0.0000
Si: 0.0000 0.0000 0.0000
Bi: 0.5000 0.5000 0.5000

Main lines, in order of rising 2θ (10 to 90 degrees two-theta):
- 20.33 deg, d = 4.367 Å, rel. 61.9
- 28.91 deg, d = 3.088 Å, rel. 100.0
- 35.61 deg, d = 2.522 Å, rel. 28.6
- 41.35 deg, d = 2.184 Å, rel. 23.6
- 46.50 deg, d = 1.953 Å, rel. 32.2
- 51.24 deg, d = 1.783 Å, rel. 42.2
- 59.90 deg, d = 1.544 Å, rel. 16.1
- 63.95 deg, d = 1.456 Å, rel. 16.0
- 67.86 deg, d = 1.381 Å, rel. 18.6
- 82.67 deg, d = 1.167 Å, rel. 22.5